[1]
Starting from a DFT-relaxed cell (PBE, Alexandria), the X-ray diffraction stick pattern of Cs4AsBr6 was calculated for Cu Kα.
No peak broadening, texture or thermal motion is included.

Crystal structure
Unit cell a=9.8431 b=9.8431 c=9.9679 alpha=90.00 beta=90.00 gamma=90.00
Sites, in units of the cell vectors:
Cs 0.1626 0.3374 0.2500
Cs 0.1626 0.3374 0.7500
Cs 0.3374 0.8374 0.2500
Cs 0.3374 0.8374 0.7500
Cs 0.6626 0.1626 0.2500
Cs 0.6626 0.1626 0.7500
Cs 0.8374 0.6626 0.2500
Cs 0.8374 0.6626 0.7500
As 0.0000 0.0000 0.0000
As 0.5000 0.5000 0.5000
Br 0.0000 0.0000 0.2668
Br 0.0000 0.0000 0.7332
Br 0.1052 0.7004 0.0000
Br 0.2004 0.6052 0.5000
Br 0.2996 0.1052 0.0000
Br 0.3948 0.2004 0.5000
Br 0.5000 0.5000 0.2332
Br 0.5000 0.5000 0.7668
Br 0.6052 0.7996 0.5000
Br 0.7004 0.8948 0.0000
Br 0.7996 0.3948 0.5000
Br 0.8948 0.2996 0.0000

Main lines, low angle first (10 to 90 degrees two-theta):
d (Å)	2θ (°)	I/Imax
7.003	12.64	16
4.402	20.17	9
3.299	27.03	100
3.113	28.68	49
2.971	30.08	9
2.638	33.98	11
2.492	36.04	18
2.201	41.01	11
2.152	41.98	15
1.945	46.69	23
1.650	55.72	9
1.554	59.47	11

***

[2]
Starting from a DFT-relaxed cell (PBE, Alexandria), the X-ray diffraction stick pattern of CsCuAs2Br8 was calculated for Cu Kα.
No peak broadening, texture or thermal motion is included.

Crystal structure
Unit cell a=8.4285 b=8.4285 c=8.9659 alpha=109.87 beta=109.87 gamma=55.33
Sites, in units of the cell vectors:
Cs 0.0000 0.0000 0.0000
Cu 0.5000 0.5000 0.5000
As 0.1918 0.1918 0.6893
As 0.8082 0.8082 0.3107
Br 0.1839 0.6235 0.2948
Br 0.1879 0.1879 0.4188
Br 0.3709 0.3709 0.8418
Br 0.3765 0.8161 0.7052
Br 0.6235 0.1839 0.2948
Br 0.6291 0.6291 0.1582
Br 0.8121 0.8121 0.5812
Br 0.8161 0.3765 0.7052

Main lines, low angle first (10 to 90 degrees two-theta):
d (Å)	2θ (°)	I/Imax
4.514	19.67	38
4.364	20.35	44
4.148	21.42	99
3.381	26.36	100
3.357	26.55	48
3.187	27.99	46
2.745	32.62	38
2.601	34.49	37
2.090	43.30	48
1.981	45.80	30
1.948	46.63	46
1.906	47.72	43

***

[3]
Starting from a DFT-relaxed cell (PBE, Alexandria), the X-ray diffraction stick pattern of CsCu2AsBr8 was calculated for Cu Kα.
No peak broadening, texture or thermal motion is included.

Crystal structure
Unit cell a=6.5602 b=6.5602 c=10.6565 alpha=91.08 beta=91.08 gamma=71.34
Sites, in units of the cell vectors:
Cs 0.0000 0.0000 0.0000
Cu 0.3561 0.3561 0.6962
Cu 0.6439 0.6439 0.3038
As 0.0000 0.0000 0.5000
Br 0.2333 0.7568 0.6814
Br 0.2432 0.7667 0.3186
Br 0.2476 0.2476 0.5005
Br 0.3340 0.3340 0.9121
Br 0.6660 0.6660 0.0879
Br 0.7524 0.7524 0.4995
Br 0.7568 0.2333 0.6814
Br 0.7667 0.2432 0.3186

Main lines, low angle first (10 to 90 degrees two-theta):
d (Å)	2θ (°)	I/Imax
5.400	16.42	27
5.332	16.63	57
4.018	22.13	32
3.823	23.27	26
3.222	27.69	62
3.107	28.73	100
2.991	29.87	75
2.665	33.63	26
2.601	34.48	22
2.036	44.49	32
2.009	45.14	36
1.913	47.54	25